Starting from a crystal structure in Alexandria, relaxed with GGA-PBE, the PXRD pattern of Mg3Al7Ga4 was simulated for copper Kα.
No peak broadening, texture or thermal motion is included.

Most intense lines, 2θ from 10° to 90°, sorted by position:
(hkl), d (Å), I_rel
4 0 -1, 3.899, 43
1 1 1, 3.327, 92
1 1 2, 2.616, 67
3 1 1, 2.537, 46
5 1 -2, 2.485, 100
5 1 0, 2.233, 40
1 1 3, 2.074, 64
3 1 -4, 2.062, 65
0 2 0, 2.050, 74
7 1 -2, 1.970, 39

Structural model:
a b c (Å): 15.7663 4.1009 9.5854
angles (deg): 90.00 122.41 90.00
Space group C2/m (No. 12)
Symmetry-distinct sites (fractional):
Mg 0.0000 0.0000 0.0000 (multiplicity 2)
Mg 0.1809 0.5000 0.6866 (multiplicity 4)
Al 0.0000 0.0000 0.5000 (multiplicity 2)
Al 0.0220 0.5000 0.3180 (multiplicity 4)
Al 0.1688 0.0000 0.4409 (multiplicity 4)
Al 0.1948 0.5000 0.0217 (multiplicity 4)
Ga 0.1045 0.0000 0.8290 (multiplicity 4)
Ga 0.1620 0.5000 0.2534 (multiplicity 4)


Starting from a crystal structure in Alexandria, relaxed with GGA-PBE, the PXRD pattern of Li7Ca3Cd2 was simulated for copper Kα.
No peak broadening, texture or thermal motion is included.

Most intense lines, 2θ from 10° to 90°, sorted by position:
(hkl), d (Å), I_rel
0 0 6, 4.893, 70
1 0 4, 4.205, 34
0 0 9, 3.262, 18
1 1 0, 2.962, 85
1 1 3, 2.835, 44
1 1 6, 2.534, 100
1 1 9, 2.193, 39
1 1 12, 1.886, 20
1 1 15, 1.633, 24
3 0 6, 1.614, 23

Structural model:
a b c (Å): 5.9243 5.9243 29.3576
angles (deg): 90.00 90.00 120.00
Space group R-3m (No. 166, hexagonal axes)
Symmetry-distinct sites (fractional):
Li 0.0000 0.0000 0.0000 (multiplicity 3)
Li 0.0013 0.5007 0.4206 (multiplicity 18)
Ca 0.0000 0.0000 0.3590 (multiplicity 6)
Ca 0.0000 0.0000 0.5000 (multiplicity 3)
Cd 0.0000 0.0000 0.1666 (multiplicity 6)